(1)
This entry pairs a crystal structure of KSi2Ni with its theoretical powder X-ray diffraction pattern. Radiation: Cu Kα X-rays. Structure: a crystal structure in Alexandria, relaxed with PBE.

Cell: 7.9937 7.9937 7.9937 Å, 141.83 141.83 55.09°
Positions (direct):
K  0.3750  0.6250  0.7500
K  0.6250  0.3750  0.2500
Si  0.0000  0.0000  0.0000
Si  0.0000  0.0000  0.5000
Si  0.0000  0.5000  0.0000
Si  0.5000  0.0000  0.5000
Ni  0.1250  0.8750  0.2500
Ni  0.8750  0.1250  0.7500

Most intense lines, 10 to 90 degrees two-theta, by angle:
18.09°, I = 52; 27.21°, I = 100; 34.31°, I = 26; 36.64°, I = 13; 43.00°, I = 27; 43.17°, I = 11; 45.57°, I = 22; 56.13°, I = 28; 57.22°, I = 21; 69.39°, I = 11

***

(2)
This entry pairs a crystal structure of Er5AsP4 with its theoretical powder X-ray diffraction pattern. Radiation: Cu Kα X-rays. Structure: a crystal structure in Alexandria, relaxed with PBE.

Cell: 10.5606 10.5606 10.5606 Å, 158.22 149.01 38.20°
Positions (direct):
Er  0.0000  0.0000  0.0000
Er  0.1996  0.1996  0.0000
Er  0.3969  0.3969  0.0000
Er  0.6031  0.6031  0.0000
Er  0.8004  0.8004  0.0000
As  0.5000  0.0000  0.5000
P  0.1003  0.6003  0.5000
P  0.2989  0.7989  0.5000
P  0.7011  0.2011  0.5000
P  0.8997  0.3997  0.5000

Most intense lines, 10 to 90 degrees two-theta, by angle:
27.37°, I = 71; 28.83°, I = 1; 31.71°, I = 100; 45.46°, I = 73; 53.88°, I = 34; 56.48°, I = 26; 66.24°, I = 12; 73.08°, I = 14; 75.31°, I = 33; 84.01°, I = 25

***

Question: What is the formula in the first record?
Answer: KSi2Ni

***

Question: What is the formula in the first record?
Answer: KSi2Ni